[1]
Starting from a PBE-relaxed structure, the powder XRD pattern of SrDy3 was calculated for a wavelength of 1.5418 Å.

Top 10 peaks for 2θ = 15–90°, in order of falling intensity:
Position (°2θ), Rel. int.
29.78, 1000
34.58, 337
59.02, 290
49.57, 244
34.40, 171
58.79, 147
61.84, 126
49.70, 121
80.50, 119
80.71, 59

Structural model:
```
SrDy3
1.0
-2.5942 2.5942 5.2142
2.5942 -2.5942 5.2142
2.5942 2.5942 -5.2142
Sr Dy
1 3
Direct
0.0000 0.0000 0.0000
0.2500 0.7500 0.5000
0.5000 0.5000 0.0000
0.7500 0.2500 0.5000
```

---

[2]
Starting from a PBE-relaxed structure, the powder XRD pattern of CaB2H2 was calculated for a wavelength of 1.5418 Å.

Top 10 peaks for 2θ = 15–90°, in order of falling intensity:
Position (°2θ), Rel. int.
37.46, 1000
29.67, 413
52.65, 238
22.34, 194
55.35, 157
66.39, 154
72.16, 147
89.59, 134
45.59, 111
78.85, 91

Structural model:
```
CaB2H2
1.0
3.4767 0.0000 0.0000
-1.7384 3.0109 0.0000
0.0000 0.0000 3.9793
Ca B H
1 2 2
Direct
0.0000 0.0000 0.0000
0.3333 0.6667 0.4628
0.6667 0.3333 0.5372
0.3333 0.6667 0.1512
0.6667 0.3333 0.8488
```

---

[3]
Starting from a PBE-relaxed structure, the powder XRD pattern of EuSi2 was calculated for a wavelength of 1.5418 Å.

Top 10 peaks for 2θ = 15–90°, in order of falling intensity:
Position (°2θ), Rel. int.
32.87, 1000
24.98, 456
44.00, 294
56.00, 215
63.05, 201
73.82, 192
50.18, 143
21.02, 126
42.78, 106
72.07, 102

Structural model:
```
EuSi2
1.0
4.1159 0.0000 0.0000
-2.0579 3.5645 0.0000
0.0000 0.0000 4.2272
Eu Si
1 2
Direct
0.0000 0.0000 0.0000
0.3333 0.6667 0.5000
0.6667 0.3333 0.5000
```

---

[4]
Starting from a PBE-relaxed structure, the powder XRD pattern of Ta2Cr3Si was calculated for a wavelength of 1.5418 Å.

Top 10 peaks for 2θ = 15–90°, in order of falling intensity:
Position (°2θ), Rel. int.
39.66, 1000
43.41, 705
36.97, 577
44.45, 417
68.43, 373
21.09, 342
73.81, 255
30.63, 224
42.95, 181
85.52, 170

Structural model:
```
Ta2Cr3Si
1.0
4.8631 0.0000 0.0000
-2.4315 4.2115 0.0000
0.0000 0.0000 8.0968
Ta Cr Si
4 6 2
Direct
0.3333 0.6667 0.0650
0.3333 0.6667 0.4350
0.6667 0.3333 0.5650
0.6667 0.3333 0.9350
0.1719 0.3438 0.7500
0.1719 0.8281 0.7500
0.3438 0.1719 0.2500
0.6562 0.8281 0.7500
0.8281 0.1719 0.2500
0.8281 0.6562 0.2500
0.0000 0.0000 0.0000
0.0000 0.0000 0.5000
```

---

[5]
Starting from a PBE-relaxed structure, the powder XRD pattern of NaTiP2O7 was calculated for a wavelength of 1.5418 Å.

Top 10 peaks for 2θ = 15–90°, in order of falling intensity:
Position (°2θ), Rel. int.
29.59, 1000
16.93, 513
27.97, 489
22.36, 367
25.63, 362
28.16, 342
60.64, 153
34.27, 149
38.28, 130
48.70, 124

Structural model:
```
NaTiP2O7
1.0
7.4797 0.0000 0.0000
0.0000 8.0366 0.0000
-3.6369 0.0000 9.1522
Na Ti P O
4 4 8 28
Direct
0.2156 0.0224 0.2100
0.2156 0.4776 0.7100
0.7844 0.5224 0.2900
0.7844 0.9776 0.7900
0.2390 0.0094 0.7505
0.2390 0.4906 0.2505
0.7610 0.5094 0.7495
0.7610 0.9906 0.2495
0.1721 0.7131 0.9535
0.1721 0.7869 0.4535
0.4294 0.2438 0.0457
0.4294 0.2562 0.5457
0.5706 0.7438 0.4543
0.5706 0.7562 0.9543
0.8279 0.2131 0.5465
0.8279 0.2869 0.0465
0.0339 0.5867 0.8512
0.0339 0.9133 0.3512
0.1305 0.6069 0.3975
0.1305 0.8931 0.8975
0.1927 0.7003 0.1133
0.1927 0.7997 0.6133
0.3181 0.2146 0.8824
0.3181 0.2854 0.3824
0.3242 0.1371 0.6088
0.3242 0.3629 0.1088
0.3735 0.6574 0.9378
0.3735 0.8426 0.4378
0.4884 0.0825 0.1354
0.4884 0.4175 0.6354
0.5115 0.5825 0.3646
0.5115 0.9175 0.8646
0.6265 0.1574 0.5622
0.6265 0.3426 0.0622
0.6758 0.6371 0.8912
0.6758 0.8629 0.3912
0.6819 0.7146 0.6176
0.6819 0.7854 0.1176
0.8073 0.2003 0.3867
0.8073 0.2997 0.8867
0.8695 0.1069 0.1025
0.8695 0.3931 0.6025
0.9661 0.0867 0.6488
0.9661 0.4133 0.1488
```

---

[6]
Starting from a PBE-relaxed structure, the powder XRD pattern of Na3NdTi2Nb2O12 was calculated for a wavelength of 1.5418 Å.

Top 10 peaks for 2θ = 15–90°, in order of falling intensity:
Position (°2θ), Rel. int.
32.30, 1000
23.25, 340
45.99, 293
31.79, 220
57.65, 189
17.07, 179
56.96, 167
67.57, 151
46.62, 148
25.29, 134

Structural model:
```
Na3NdTi2Nb2O12
1.0
15.5861 0.0000 0.0000
0.0000 5.5354 0.0000
0.0000 0.0000 5.6289
Na Nd Ti Nb O
6 2 4 4 24
Direct
0.0000 0.2443 0.0000
0.0000 0.7557 0.5000
0.2531 0.2489 0.9598
0.2531 0.7511 0.4598
0.7469 0.2489 0.9598
0.7469 0.7511 0.4598
0.5000 0.2430 0.0126
0.5000 0.7570 0.5126
0.3711 0.2583 0.4903
0.3711 0.7417 0.9903
0.6289 0.2583 0.4903
0.6289 0.7417 0.9903
0.1263 0.2556 0.4899
0.1263 0.7444 0.9899
0.8737 0.2556 0.4899
0.8737 0.7444 0.9899
0.0000 0.3176 0.4423
0.0000 0.6824 0.9423
0.1083 0.0409 0.7504
0.1083 0.9591 0.2504
0.1438 0.4569 0.1700
0.1438 0.5431 0.6700
0.2530 0.1822 0.4735
0.2530 0.8178 0.9735
0.3645 0.4642 0.1717
0.3645 0.5358 0.6717
0.4007 0.0362 0.7377
0.4007 0.9638 0.2377
0.5000 0.3237 0.4392
0.5000 0.6763 0.9392
0.5993 0.0362 0.7377
0.5993 0.9638 0.2377
0.6355 0.4642 0.1717
0.6355 0.5358 0.6717
0.7470 0.1822 0.4735
0.7470 0.8178 0.9735
0.8562 0.4569 0.1700
0.8562 0.5431 0.6700
0.8917 0.0409 0.7504
0.8917 0.9591 0.2504
```

---

[7]
Starting from a PBE-relaxed structure, the powder XRD pattern of Ba2ErCu4O8 was calculated for a wavelength of 1.5418 Å.

Top 10 peaks for 2θ = 15–90°, in order of falling intensity:
Position (°2θ), Rel. int.
32.79, 1000
32.41, 947
34.92, 646
30.23, 414
58.17, 360
46.69, 310
46.91, 305
60.81, 295
59.61, 270
23.87, 214

Structural model:
```
Ba2ErCu4O8
1.0
1.9456 -13.7320 0.0000
1.9456 13.7320 0.0000
0.0000 0.0000 3.8735
Ba Er Cu O
2 1 4 8
Direct
0.1354 0.8646 0.0000
0.8646 0.1354 0.0000
0.0000 0.0000 0.0000
0.2874 0.7126 0.5000
0.4394 0.5606 0.5000
0.5606 0.4394 0.5000
0.7126 0.2874 0.5000
0.0511 0.9489 0.5000
0.2185 0.7815 0.5000
0.3548 0.6452 0.5000
0.4488 0.5512 0.0000
0.5512 0.4488 0.0000
0.6452 0.3548 0.5000
0.7815 0.2185 0.5000
0.9489 0.0511 0.5000
```

---

[8]
Starting from a PBE-relaxed structure, the powder XRD pattern of Y2Cl2O was calculated for a wavelength of 1.5418 Å.

Top 10 peaks for 2θ = 15–90°, in order of falling intensity:
Position (°2θ), Rel. int.
21.23, 1000
30.20, 394
48.66, 190
35.46, 162
48.13, 160
43.24, 137
53.16, 117
66.68, 113
25.48, 113
30.01, 103

Structural model:
```
Y2Cl2O
1.0
4.1845 0.0000 0.0000
0.0000 4.1845 0.0000
0.0000 0.0000 12.7145
Y Cl O
2 2 1
Direct
0.0000 0.0000 0.1625
0.0000 0.0000 0.8375
0.0000 0.0000 0.3561
0.0000 0.0000 0.6439
0.0000 0.0000 0.0000
```

---

[9]
Starting from a PBE-relaxed structure, the powder XRD pattern of Pu3Np was calculated for a wavelength of 1.5418 Å.

Top 10 peaks for 2θ = 15–90°, in order of falling intensity:
Position (°2θ), Rel. int.
34.48, 1000
39.87, 339
68.95, 282
58.02, 234
40.34, 164
69.59, 137
72.72, 122
57.66, 119
86.00, 41
87.20, 20

Structural model:
```
Pu3Np
1.0
-2.2608 2.2608 4.4716
2.2608 -2.2608 4.4716
2.2608 2.2608 -4.4716
Pu Np
3 1
Direct
0.0000 0.0000 0.0000
0.2500 0.7500 0.5000
0.7500 0.2500 0.5000
0.5000 0.5000 0.0000
```